[1]
The following is a theoretical powder XRD pattern of USiO7. It was derived from a cell relaxed with GGA-PBE, using a wavelength of 1.5418 Å.
Peak positions follow from Bragg's law for the DFT cell and can differ from measured ones.

Largest 10 diffraction maxima, by intensity, 15 to 90 degrees two-theta:
- d = 5.372 Å, I = 100
- d = 2.950 Å, I = 99
- d = 2.727 Å, I = 83
- d = 4.295 Å, I = 73
- d = 3.537 Å, I = 73
- d = 3.172 Å, I = 69
- d = 3.685 Å, I = 58
- d = 3.586 Å, I = 41
- d = 2.277 Å, I = 40
- d = 3.279 Å, I = 33

Structure:
Unit cell a=7.1717 b=8.8463 c=8.8463 alpha=132.86 beta=90.00 gamma=90.00
Fractional coordinates of all 18 atoms:
U: 0.0000 0.2030 0.7970
U: 0.0000 0.7970 0.2030
Si: 0.0000 0.3961 0.6026
Si: 0.0000 0.6026 0.3961
O: 0.0000 0.0415 0.9659
O: 0.0000 0.1544 0.4918
O: 0.0000 0.4918 0.1544
O: 0.0000 0.5094 0.8451
O: 0.0000 0.8451 0.5094
O: 0.0000 0.9659 0.0415
O: 0.1926 0.4522 0.5426
O: 0.1926 0.5426 0.4522
O: 0.2488 0.1975 0.8034
O: 0.2488 0.8034 0.1975
O: 0.7512 0.1975 0.8034
O: 0.7512 0.8034 0.1975
O: 0.8074 0.4522 0.5426
O: 0.8074 0.5426 0.4522

---

[2]
The following is a theoretical powder XRD pattern of USiO4. It was derived from a cell relaxed with GGA-PBE, using a wavelength of 1.5418 Å.
Peak positions follow from Bragg's law for the DFT cell and can differ from measured ones.

Largest 10 diffraction maxima, by intensity, 15 to 90 degrees two-theta:
- d = 3.507 Å, I = 100
- d = 4.690 Å, I = 96
- d = 2.661 Å, I = 79
- d = 1.814 Å, I = 62
- d = 2.809 Å, I = 45
- d = 1.859 Å, I = 26
- d = 2.480 Å, I = 25
- d = 2.192 Å, I = 25
- d = 2.014 Å, I = 18
- d = 1.464 Å, I = 18

Structure:
Unit cell a=5.8773 b=5.8773 c=5.8773 alpha=106.73 beta=106.73 gamma=115.11
Fractional coordinates of all 12 atoms:
U: 0.3750 0.6250 0.7500
U: 0.6250 0.3750 0.2500
Si: 0.1250 0.8750 0.2500
Si: 0.8750 0.1250 0.7500
O: 0.1377 0.7073 0.4304
O: 0.2232 0.2927 0.9304
O: 0.2927 0.2232 0.4304
O: 0.2927 0.8623 0.0696
O: 0.7073 0.1377 0.9304
O: 0.7073 0.7768 0.5696
O: 0.7768 0.7073 0.0696
O: 0.8623 0.2927 0.5696

---

[3]
The following is a theoretical powder XRD pattern of U6Si11O. It was derived from a cell relaxed with GGA-PBE, using a wavelength of 1.5418 Å.
Peak positions follow from Bragg's law for the DFT cell and can differ from measured ones.

Largest 10 diffraction maxima, by intensity, 15 to 90 degrees two-theta:
- d = 2.564 Å, I = 100
- d = 3.473 Å, I = 66
- d = 2.005 Å, I = 30
- d = 1.579 Å, I = 23
- d = 1.241 Å, I = 22
- d = 3.801 Å, I = 20
- d = 1.379 Å, I = 19
- d = 1.667 Å, I = 18
- d = 1.773 Å, I = 16
- d = 1.736 Å, I = 10

Structure:
Unit cell a=6.9452 b=6.9452 c=7.6020 alpha=90.00 beta=90.00 gamma=120.00
Fractional coordinates of all 18 atoms:
U: 0.0000 0.6706 0.2481
U: 0.0000 0.6706 0.7519
U: 0.3294 0.3294 0.2481
U: 0.3294 0.3294 0.7519
U: 0.6706 0.0000 0.2481
U: 0.6706 0.0000 0.7519
Si: 0.0000 0.0000 0.5000
Si: 0.0000 0.3247 0.0000
Si: 0.0000 0.3351 0.5000
Si: 0.3247 0.0000 0.0000
Si: 0.3333 0.6667 0.0000
Si: 0.3333 0.6667 0.5000
Si: 0.3351 0.0000 0.5000
Si: 0.6649 0.6649 0.5000
Si: 0.6667 0.3333 0.0000
Si: 0.6667 0.3333 0.5000
Si: 0.6753 0.6753 0.0000
O: 0.0000 0.0000 0.0000

---

[4]
The following is a theoretical powder XRD pattern of USiO3. It was derived from a cell relaxed with GGA-PBE, using a wavelength of 1.5418 Å.
Peak positions follow from Bragg's law for the DFT cell and can differ from measured ones.

Largest 10 diffraction maxima, by intensity, 15 to 90 degrees two-theta:
- d = 2.684 Å, I = 100
- d = 3.796 Å, I = 67
- d = 1.550 Å, I = 40
- d = 2.191 Å, I = 40
- d = 1.697 Å, I = 32
- d = 1.898 Å, I = 29
- d = 1.200 Å, I = 19
- d = 1.342 Å, I = 18
- d = 1.265 Å, I = 17
- d = 1.144 Å, I = 15

Structure:
Unit cell a=3.7956 b=3.7956 c=3.7956 alpha=90.00 beta=90.00 gamma=90.00
Fractional coordinates of all 5 atoms:
U: 0.0000 0.0000 0.0000
Si: 0.5000 0.5000 0.5000
O: 0.0000 0.5000 0.5000
O: 0.5000 0.0000 0.5000
O: 0.5000 0.5000 0.0000

---

[5]
The following is a theoretical powder XRD pattern of Y2SiO5. It was derived from a cell relaxed with GGA-PBE, using a wavelength of 1.5418 Å.
Peak positions follow from Bragg's law for the DFT cell and can differ from measured ones.

Largest 10 diffraction maxima, by intensity, 15 to 90 degrees two-theta:
- d = 2.952 Å, I = 100
- d = 3.217 Å, I = 95
- d = 3.010 Å, I = 91
- d = 2.738 Å, I = 55
- d = 2.714 Å, I = 54
- d = 1.889 Å, I = 54
- d = 2.998 Å, I = 54
- d = 2.326 Å, I = 49
- d = 4.787 Å, I = 48
- d = 2.394 Å, I = 35

Structure:
Unit cell a=9.1905 b=6.8867 c=6.7762 alpha=90.00 beta=100.68 gamma=90.00
Fractional coordinates of all 32 atoms:
Y: 0.0103 0.2220 0.1548
Y: 0.0103 0.2780 0.6548
Y: 0.3331 0.5463 0.5921
Y: 0.3331 0.9537 0.0921
Y: 0.6669 0.0463 0.9079
Y: 0.6669 0.4537 0.4079
Y: 0.9897 0.7220 0.3452
Y: 0.9897 0.7780 0.8452
Si: 0.2840 0.0212 0.6013
Si: 0.2840 0.4788 0.1013
Si: 0.7160 0.5212 0.8987
Si: 0.7160 0.9788 0.3987
O: 0.1021 0.5851 0.6329
O: 0.1021 0.9149 0.1329
O: 0.1288 0.5297 0.1834
O: 0.1288 0.9703 0.6834
O: 0.2333 0.2331 0.4931
O: 0.2333 0.2669 0.9931
O: 0.3229 0.6501 0.9507
O: 0.3229 0.8499 0.4507
O: 0.4214 0.0302 0.7951
O: 0.4214 0.4698 0.2951
O: 0.5786 0.5302 0.7049
O: 0.5786 0.9698 0.2049
O: 0.6771 0.1501 0.5493
O: 0.6771 0.3499 0.0493
O: 0.7667 0.7331 0.0069
O: 0.7667 0.7669 0.5069
O: 0.8712 0.0297 0.3166
O: 0.8712 0.4703 0.8166
O: 0.8979 0.0851 0.8671
O: 0.8979 0.4149 0.3671

---

Repeat the fifth record exactly.
The following is a theoretical powder XRD pattern of Y2SiO5. It was derived from a cell relaxed with GGA-PBE, using a wavelength of 1.5418 Å.
Peak positions follow from Bragg's law for the DFT cell and can differ from measured ones.

Largest 10 diffraction maxima, by intensity, 15 to 90 degrees two-theta:
- d = 2.952 Å, I = 100
- d = 3.217 Å, I = 95
- d = 3.010 Å, I = 91
- d = 2.738 Å, I = 55
- d = 2.714 Å, I = 54
- d = 1.889 Å, I = 54
- d = 2.998 Å, I = 54
- d = 2.326 Å, I = 49
- d = 4.787 Å, I = 48
- d = 2.394 Å, I = 35

Structure:
Unit cell a=9.1905 b=6.8867 c=6.7762 alpha=90.00 beta=100.68 gamma=90.00
Fractional coordinates of all 32 atoms:
Y: 0.0103 0.2220 0.1548
Y: 0.0103 0.2780 0.6548
Y: 0.3331 0.5463 0.5921
Y: 0.3331 0.9537 0.0921
Y: 0.6669 0.0463 0.9079
Y: 0.6669 0.4537 0.4079
Y: 0.9897 0.7220 0.3452
Y: 0.9897 0.7780 0.8452
Si: 0.2840 0.0212 0.6013
Si: 0.2840 0.4788 0.1013
Si: 0.7160 0.5212 0.8987
Si: 0.7160 0.9788 0.3987
O: 0.1021 0.5851 0.6329
O: 0.1021 0.9149 0.1329
O: 0.1288 0.5297 0.1834
O: 0.1288 0.9703 0.6834
O: 0.2333 0.2331 0.4931
O: 0.2333 0.2669 0.9931
O: 0.3229 0.6501 0.9507
O: 0.3229 0.8499 0.4507
O: 0.4214 0.0302 0.7951
O: 0.4214 0.4698 0.2951
O: 0.5786 0.5302 0.7049
O: 0.5786 0.9698 0.2049
O: 0.6771 0.1501 0.5493
O: 0.6771 0.3499 0.0493
O: 0.7667 0.7331 0.0069
O: 0.7667 0.7669 0.5069
O: 0.8712 0.0297 0.3166
O: 0.8712 0.4703 0.8166
O: 0.8979 0.0851 0.8671
O: 0.8979 0.4149 0.3671